For La2Cu2I, a PBE-relaxed structure gives the simulated XRD peak list in this record (Cu Ka).
Peak positions follow from Bragg's law for the DFT cell and can differ from measured ones.

Top 10 peaks for 10° ≤ 2θ ≤ 90°, in order of rising 2θ:
two_theta, I/Imax, (hkl)
10.13, 18, 0 0 3
24.85, 56, 0 1 2
29.42, 84, 0 1 5
33.95, 100, 1 0 7
36.53, 16, 0 1 8
42.01, 74, 1 1 0
52.11, 17, 2 0 5
55.07, 25, 0 2 7
60.42, 27, 1 1 12
71.60, 22, 2 1 7

Structure:
```
data_La2Cu2I
_space_group_name_H-M_alt 'R -3 m'
_space_group_IT_number 166
_space_group_name_Hall '-R 3 2"'
_cell_length_a 4.3018
_cell_length_b 4.3018
_cell_length_c 26.1973
_cell_angle_alpha 90.00
_cell_angle_beta 90.00
_cell_angle_gamma 120.00
loop_
_atom_site_label
_atom_site_type_symbol
_atom_site_fract_x
_atom_site_fract_y
_atom_site_fract_z
La1 La 0.0000 0.0000 0.0693
Cu1 Cu 0.0000 0.0000 0.3329
I1 I 0.0000 0.0000 0.5000
```

=====

For Rb2LaCuI6, a PBE-relaxed structure gives the simulated XRD peak list in this record (Cu Ka).
Peak positions follow from Bragg's law for the DFT cell and can differ from measured ones.

Top 10 peaks for 10° ≤ 2θ ≤ 90°, in order of rising 2θ:
two_theta, I/Imax, (hkl)
14.17, 30, 1 1 0
25.41, 100, 2 0 2
28.56, 89, 2 2 0
31.09, 33, 0 0 4
40.83, 34, 4 0 0
42.72, 54, 2 2 4
48.71, 33, 4 2 2
52.20, 30, 4 0 4
66.95, 15, 6 2 0
75.65, 20, 6 2 4

Structure:
```
data_Rb2LaCuI6
_space_group_name_H-M_alt 'I 4/m m m'
_space_group_IT_number 139
_space_group_name_Hall '-I 4 2'
_cell_length_a 8.840
_cell_length_b 8.840
_cell_length_c 11.505
_cell_angle_alpha 90.00
_cell_angle_beta 90.00
_cell_angle_gamma 90.00
loop_
_atom_site_label
_atom_site_type_symbol
_atom_site_fract_x
_atom_site_fract_y
_atom_site_fract_z
Rb1 Rb 0.000 0.500 0.250
La1 La 0.000 0.000 0.000
Cu1 Cu 0.000 0.000 0.500
I1 I 0.000 0.000 0.274
I2 I 0.248 0.248 0.500
```

=====

For La6CuRh2I3, a PBE-relaxed structure gives the simulated XRD peak list in this record (Cu Ka).
Peak positions follow from Bragg's law for the DFT cell and can differ from measured ones.

Top 10 peaks for 10° ≤ 2θ ≤ 90°, in order of rising 2θ:
two_theta, I/Imax, (hkl)
10.71, 8, 0 0 1
28.07, 100, 1 3 1
30.12, 16, 2 0 1
32.51, 9, 0 0 3
35.06, 9, 1 3 2
37.86, 28, 2 0 2
42.27, 38, 0 6 0
51.51, 18, 4 0 0
54.32, 12, 3 3 2
68.75, 15, 5 3 -3

Structure:
```
data_La6CuRh2I3
_space_group_name_H-M_alt 'C 1 2/m 1'
_space_group_IT_number 12
_cell_length_a 7.407
_cell_length_b 12.827
_cell_length_c 8.625
_cell_angle_alpha 90.00
_cell_angle_beta 106.65
_cell_angle_gamma 90.00
loop_
_space_group_symop_operation_xyz
'x,y,z'
'-x,-y,-z'
'-x,y,-z'
'x,-y,z'
'x+1/2,y+1/2,z'
'-x+1/2,-y+1/2,-z'
'-x+1/2,y+1/2,-z'
'x+1/2,-y+1/2,z'
loop_
_atom_site_label
_atom_site_type_symbol
_atom_site_fract_x
_atom_site_fract_y
_atom_site_fract_z
La1 La 0.219 0.000 0.187
La2 La 0.234 0.328 0.188
Cu1 Cu 0.000 0.500 0.000
Rh1 Rh 0.000 0.167 0.000
I1 I 0.000 0.000 0.500
I2 I 0.000 0.335 0.500
```

=====

For LiCu4I5, a PBE-relaxed structure gives the simulated XRD peak list in this record (Cu Ka).
Peak positions follow from Bragg's law for the DFT cell and can differ from measured ones.

Top 10 peaks for 10° ≤ 2θ ≤ 90°, in order of rising 2θ:
two_theta, I/Imax, (hkl)
23.83, 85, 1 0 0
24.90, 54, 0 0 10
26.94, 100, 1 0 5
34.74, 33, 1 0 10
41.91, 75, 1 1 0
45.13, 70, 1 0 15
49.36, 48, 1 1 10
50.52, 17, 0 2 5
63.27, 25, 0 2 15
78.81, 26, 2 1 15

Structure:
```
data_LiCu4I5
_space_group_name_H-M_alt 'P 3 m 1'
_space_group_IT_number 156
_cell_length_a 4.3116
_cell_length_b 4.3116
_cell_length_c 35.7556
_cell_angle_alpha 90.00
_cell_angle_beta 90.00
_cell_angle_gamma 120.00
loop_
_space_group_symop_operation_xyz
'x,y,z'
'-y,x-y,z'
'-x+y,-x,z'
'-y,-x,z'
'-x+y,y,z'
'x,x-y,z'
loop_
_atom_site_label
_atom_site_type_symbol
_atom_site_fract_x
_atom_site_fract_y
_atom_site_fract_z
Li1 Li 0.0000 0.0000 0.0000
Li2 Li 0.0000 0.0000 0.2053
Cu1 Cu 0.0000 0.0000 0.4069
Cu2 Cu 0.0000 0.0000 0.6032
Cu3 Cu 0.0000 0.0000 0.7996
Cu4 Cu 0.3333 0.6667 0.1035
Cu5 Cu 0.3333 0.6667 0.3089
Cu6 Cu 0.3333 0.6667 0.5051
Cu7 Cu 0.3333 0.6667 0.7015
Cu8 Cu 0.3333 0.6667 0.8978
I1 I 0.0000 0.0000 0.1276
I2 I 0.0000 0.0000 0.3333
I3 I 0.0000 0.0000 0.5296
I4 I 0.0000 0.0000 0.7259
I5 I 0.0000 0.0000 0.9221
I6 I 0.3333 0.6667 0.0297
I7 I 0.3333 0.6667 0.2352
I8 I 0.3333 0.6667 0.4314
I9 I 0.3333 0.6667 0.6278
I10 I 0.3333 0.6667 0.8241
```

=====

Repeat the fourth record exactly.
For LiCu4I5, a PBE-relaxed structure gives the simulated XRD peak list in this record (Cu Ka).
Peak positions follow from Bragg's law for the DFT cell and can differ from measured ones.

Top 10 peaks for 10° ≤ 2θ ≤ 90°, in order of rising 2θ:
two_theta, I/Imax, (hkl)
23.83, 85, 1 0 0
24.90, 54, 0 0 10
26.94, 100, 1 0 5
34.74, 33, 1 0 10
41.91, 75, 1 1 0
45.13, 70, 1 0 15
49.36, 48, 1 1 10
50.52, 17, 0 2 5
63.27, 25, 0 2 15
78.81, 26, 2 1 15

Structure:
```
data_LiCu4I5
_space_group_name_H-M_alt 'P 3 m 1'
_space_group_IT_number 156
_cell_length_a 4.3116
_cell_length_b 4.3116
_cell_length_c 35.7556
_cell_angle_alpha 90.00
_cell_angle_beta 90.00
_cell_angle_gamma 120.00
loop_
_space_group_symop_operation_xyz
'x,y,z'
'-y,x-y,z'
'-x+y,-x,z'
'-y,-x,z'
'-x+y,y,z'
'x,x-y,z'
loop_
_atom_site_label
_atom_site_type_symbol
_atom_site_fract_x
_atom_site_fract_y
_atom_site_fract_z
Li1 Li 0.0000 0.0000 0.0000
Li2 Li 0.0000 0.0000 0.2053
Cu1 Cu 0.0000 0.0000 0.4069
Cu2 Cu 0.0000 0.0000 0.6032
Cu3 Cu 0.0000 0.0000 0.7996
Cu4 Cu 0.3333 0.6667 0.1035
Cu5 Cu 0.3333 0.6667 0.3089
Cu6 Cu 0.3333 0.6667 0.5051
Cu7 Cu 0.3333 0.6667 0.7015
Cu8 Cu 0.3333 0.6667 0.8978
I1 I 0.0000 0.0000 0.1276
I2 I 0.0000 0.0000 0.3333
I3 I 0.0000 0.0000 0.5296
I4 I 0.0000 0.0000 0.7259
I5 I 0.0000 0.0000 0.9221
I6 I 0.3333 0.6667 0.0297
I7 I 0.3333 0.6667 0.2352
I8 I 0.3333 0.6667 0.4314
I9 I 0.3333 0.6667 0.6278
I10 I 0.3333 0.6667 0.8241
```